# HoTlPbF6
Calculated powder diffractogram, Cu Kα (λ = 1.5418 Å). Input: a structure optimized by DFT (PBE).

Most intense lines, 2θ from 10° to 90°, low angle first:
2theta	Rel. int.
22.09	1000
27.92	942
31.43	278
42.53	755
45.05	189
50.72	192
52.56	196
53.83	222
63.68	185
72.74	148

Cell lengths 5.692, 5.692, 11.587 Å; angles 90.00, 90.00, 90.00 degrees
Fractional positions:
Ho  0.000  0.000  0.000
Ho  0.500  0.500  0.500
Tl  0.000  0.000  0.666
Tl  0.500  0.500  0.166
Pb  0.000  0.000  0.337
Pb  0.500  0.500  0.837
F  0.168  0.168  0.149
F  0.198  0.198  0.870
F  0.229  0.229  0.480
F  0.271  0.729  0.980
F  0.302  0.698  0.370
F  0.332  0.668  0.649
F  0.668  0.332  0.649
F  0.698  0.302  0.370
F  0.729  0.271  0.980
F  0.771  0.771  0.480
F  0.802  0.802  0.870
F  0.832  0.832  0.149

# Sr6Li2In
Calculated powder diffractogram, Cu Kα (λ = 1.5418 Å). Input: a structure optimized by DFT (PBE).

Most intense lines, 2θ from 10° to 90°, low angle first:
2theta	Rel. int.
17.04	122
22.23	226
24.53	135
28.29	1000
30.31	255
30.45	254
43.50	187
48.73	107
52.62	170
52.79	171

Cell lengths 11.442, 9.320, 7.829 Å; angles 83.22, 53.99, 42.80 degrees
Fractional positions:
Sr  0.138  0.862  0.138
Sr  0.195  0.478  0.522
Sr  0.478  0.195  0.805
Sr  0.522  0.805  0.195
Sr  0.805  0.522  0.478
Sr  0.862  0.138  0.862
Li  0.166  0.166  0.834
Li  0.834  0.834  0.166
In  0.500  0.500  0.500

# Tb6Sm4Ho19
Calculated powder diffractogram, Cu Kα (λ = 1.5418 Å). Input: a structure optimized by DFT (PBE).

Most intense lines, 2θ from 10° to 90°, low angle first:
2theta	Rel. int.
26.87	494
28.77	624
30.55	1000
33.87	185
35.43	423
36.92	729
42.46	205
54.31	257
60.60	289
61.61	220

Cell lengths 10.750, 10.750, 10.750 Å; angles 109.47, 109.47, 109.47 degrees
Fractional positions:
Tb  0.126  0.626  0.500
Tb  0.374  0.500  0.874
Tb  0.500  0.126  0.626
Tb  0.500  0.874  0.374
Tb  0.626  0.500  0.126
Tb  0.874  0.374  0.500
Sm  0.000  0.000  0.641
Sm  0.000  0.641  0.000
Sm  0.359  0.359  0.359
Sm  0.641  0.000  0.000
Ho  0.000  0.000  0.000
Ho  0.000  0.260  0.260
Ho  0.000  0.740  0.740
Ho  0.016  0.800  0.340
Ho  0.200  0.216  0.540
Ho  0.216  0.540  0.200
Ho  0.260  0.000  0.260
Ho  0.260  0.260  0.000
Ho  0.324  0.784  0.984
Ho  0.340  0.016  0.800
Ho  0.460  0.676  0.660
Ho  0.540  0.200  0.216
Ho  0.660  0.460  0.676
Ho  0.676  0.660  0.460
Ho  0.740  0.000  0.740
Ho  0.740  0.740  0.000
Ho  0.784  0.984  0.324
Ho  0.800  0.340  0.016
Ho  0.984  0.324  0.784

# Ti7Al3V2
Calculated powder diffractogram, Cu Kα (λ = 1.5418 Å). Input: a structure optimized by DFT (PBE).

Most intense lines, 2θ from 10° to 90°, low angle first:
2theta	Rel. int.
38.75	313
38.83	461
39.34	549
39.50	307
40.27	1000
40.46	315
41.55	417
41.61	427
44.40	318
58.99	254

Cell lengths 4.657, 2.750, 15.264 Å; angles 90.00, 93.65, 90.00 degrees
Fractional positions:
Ti  0.000  0.000  0.000
Ti  0.192  0.500  0.194
Ti  0.258  0.500  0.545
Ti  0.318  0.000  0.854
Ti  0.682  0.000  0.146
Ti  0.742  0.500  0.455
Ti  0.808  0.500  0.806
Al  0.222  0.000  0.373
Al  0.500  0.500  0.000
Al  0.778  0.000  0.627
V  0.299  0.500  0.705
V  0.701  0.500  0.295

# BaCaSbF7
Calculated powder diffractogram, Cu Kα (λ = 1.5418 Å). Input: a structure optimized by DFT (PBE).

Most intense lines, 2θ from 10° to 90°, low angle first:
2theta	Rel. int.
22.79	314
23.70	1000
24.21	699
26.37	473
28.73	620
29.87	224
30.41	265
36.39	357
38.85	231
42.10	366

Cell lengths 5.920, 11.506, 9.740 Å; angles 90.00, 96.77, 90.00 degrees
Fractional positions:
Ba  0.247  0.144  0.033
Ba  0.247  0.356  0.533
Ba  0.753  0.644  0.467
Ba  0.753  0.856  0.967
Ca  0.199  0.539  0.171
Ca  0.199  0.961  0.671
Ca  0.801  0.039  0.329
Ca  0.801  0.461  0.829
Sb  0.293  0.668  0.778
Sb  0.293  0.832  0.278
Sb  0.707  0.168  0.722
Sb  0.707  0.332  0.222
F  0.001  0.719  0.189
F  0.001  0.781  0.689
F  0.006  0.512  0.654
F  0.006  0.988  0.154
F  0.120  0.572  0.933
F  0.120  0.928  0.433
F  0.276  0.710  0.431
F  0.276  0.790  0.931
F  0.387  0.130  0.597
F  0.387  0.370  0.097
F  0.466  0.028  0.850
F  0.466  0.472  0.350
F  0.481  0.688  0.205
F  0.481  0.812  0.705
F  0.519  0.188  0.295
F  0.519  0.312  0.795
F  0.534  0.528  0.650
F  0.534  0.972  0.150
F  0.613  0.630  0.903
F  0.613  0.870  0.403
F  0.724  0.210  0.069
F  0.724  0.290  0.569
F  0.880  0.072  0.567
F  0.880  0.428  0.067
F  0.994  0.012  0.846
F  0.994  0.488  0.346
F  0.999  0.219  0.311
F  0.999  0.281  0.811

# MgGaAgO
Calculated powder diffractogram, Cu Kα (λ = 1.5418 Å). Input: a structure optimized by DFT (PBE).

Most intense lines, 2θ from 10° to 90°, low angle first:
2theta	Rel. int.
12.17	914
33.90	1000
36.87	762
37.09	378
38.96	855
44.14	441
53.83	239
58.67	399
69.50	308
71.48	307

Cell lengths 3.147, 3.147, 21.813 Å; angles 90.00, 90.00, 120.00 degrees
Fractional positions:
Mg  0.000  0.000  0.000
Mg  0.333  0.667  0.667
Mg  0.667  0.333  0.333
Ga  0.000  0.000  0.794
Ga  0.333  0.667  0.460
Ga  0.667  0.333  0.127
Ag  0.000  0.000  0.223
Ag  0.333  0.667  0.889
Ag  0.667  0.333  0.556
O  0.000  0.000  0.705
O  0.333  0.667  0.371
O  0.667  0.333  0.038

# Cs2SrSe10
Calculated powder diffractogram, Cu Kα (λ = 1.5418 Å). Input: a structure optimized by DFT (PBE).

Most intense lines, 2θ from 10° to 90°, low angle first:
2theta	Rel. int.
23.07	928
23.32	315
23.80	466
24.67	255
27.30	1000
29.80	718
33.04	471
36.01	737
43.13	374
50.36	245

Cell lengths 7.685, 7.710, 15.466 Å; angles 90.00, 97.01, 90.00 degrees
Fractional positions:
Cs  0.068  0.029  0.362
Cs  0.068  0.471  0.862
Cs  0.932  0.529  0.138
Cs  0.932  0.971  0.638
Sr  0.500  0.000  0.000
Sr  0.500  0.500  0.500
Se  0.081  0.003  0.089
Se  0.081  0.497  0.589
Se  0.186  0.553  0.344
Se  0.186  0.947  0.844
Se  0.318  0.180  0.162
Se  0.318  0.320  0.662
Se  0.468  0.592  0.067
Se  0.468  0.908  0.567
Se  0.484  0.530  0.227
Se  0.484  0.970  0.727
Se  0.516  0.030  0.273
Se  0.516  0.470  0.773
Se  0.532  0.092  0.433
Se  0.532  0.408  0.933
Se  0.682  0.680  0.338
Se  0.682  0.820  0.838
Se  0.814  0.053  0.156
Se  0.814  0.447  0.656
Se  0.919  0.503  0.411
Se  0.919  0.997  0.911

# AcIn12Hg7
Calculated powder diffractogram, Cu Kα (λ = 1.5418 Å). Input: a structure optimized by DFT (PBE).

Most intense lines, 2θ from 10° to 90°, low angle first:
2theta	Rel. int.
10.38	206
30.02	174
31.41	1000
31.66	758
33.23	481
33.61	194
34.74	225
35.10	454
36.83	140
38.19	221

Cell lengths 7.434, 9.064, 9.313 Å; angles 74.55, 67.83, 72.69 degrees
Fractional positions:
Ac  0.000  0.000  0.000
In  0.031  0.610  0.225
In  0.217  0.253  0.411
In  0.267  0.589  0.460
In  0.319  0.532  0.791
In  0.413  0.176  0.694
In  0.440  0.692  0.988
In  0.560  0.308  0.012
In  0.587  0.824  0.306
In  0.681  0.468  0.209
In  0.733  0.411  0.540
In  0.783  0.747  0.589
In  0.969  0.390  0.775
Hg  0.114  0.292  0.099
Hg  0.128  0.948  0.336
Hg  0.316  0.883  0.649
Hg  0.500  0.000  0.000
Hg  0.684  0.117  0.351
Hg  0.872  0.052  0.664
Hg  0.886  0.708  0.901

# Tb6AgBi
Calculated powder diffractogram, Cu Kα (λ = 1.5418 Å). Input: a structure optimized by DFT (PBE).

Most intense lines, 2θ from 10° to 90°, low angle first:
2theta	Rel. int.
29.02	443
31.87	1000
33.18	496
34.83	168
35.44	814
37.21	289
54.40	285
56.11	133
58.20	154
60.14	190

Cell lengths 6.164, 6.170, 6.171 Å; angles 92.65, 92.72, 92.62 degrees
Fractional positions:
Tb  0.015  0.254  0.045
Tb  0.245  0.956  0.484
Tb  0.456  0.483  0.745
Tb  0.544  0.517  0.255
Tb  0.755  0.044  0.516
Tb  0.985  0.746  0.955
Ag  0.000  0.500  0.500
Bi  0.500  0.000  0.000

# Mg2UPd8
Calculated powder diffractogram, Cu Kα (λ = 1.5418 Å). Input: a structure optimized by DFT (PBE).

Most intense lines, 2θ from 10° to 90°, low angle first:
2theta	Rel. int.
13.15	445
17.13	562
34.76	231
39.96	819
40.17	725
40.28	696
40.41	1000
40.88	271
41.21	478
41.38	576

Cell lengths 5.259, 5.300, 6.909 Å; angles 99.12, 98.20, 95.42 degrees
Fractional positions:
Mg  0.131  0.173  0.347
Mg  0.869  0.827  0.653
U  0.500  0.500  0.000
Pd  0.014  0.628  0.201
Pd  0.239  0.943  0.972
Pd  0.327  0.630  0.606
Pd  0.449  0.149  0.679
Pd  0.551  0.851  0.321
Pd  0.673  0.370  0.394
Pd  0.761  0.057  0.028
Pd  0.986  0.372  0.799

# NpTi3
Calculated powder diffractogram, Cu Kα (λ = 1.5418 Å). Input: a structure optimized by DFT (PBE).

Most intense lines, 2θ from 10° to 90°, low angle first:
2theta	Rel. int.
21.33	239
23.85	740
30.29	208
37.35	1000
38.96	219
43.39	488
50.08	222
59.72	202
63.04	314
75.58	245

Cell lengths 4.173, 4.173, 8.330 Å; angles 90.00, 90.00, 90.00 degrees
Fractional positions:
Np  0.000  0.000  0.000
Np  0.500  0.500  0.500
Ti  0.000  0.000  0.500
Ti  0.000  0.500  0.250
Ti  0.000  0.500  0.750
Ti  0.500  0.000  0.250
Ti  0.500  0.000  0.750
Ti  0.500  0.500  0.000